Record 1
Starting from a GGA+U-relaxed structure, the XRD peak list of Sr4LaMn5O13 was computed for Cu Ka.
Kinematic intensities with the Lorentz-polarization factor, no thermal factor.

Structural model:
Cell lengths 8.843, 3.873, 8.901 Å; angles 90.00, 90.60, 90.00 degrees
Space group P2/m (No. 10)
Asymmetric unit:
1 Sr 0.101 0.000 0.179 (multiplicity 2)
2 Sr 0.298 0.000 0.615 (multiplicity 2)
3 La 0.500 0.000 0.000 (multiplicity 1)
4 Mn 0.000 0.500 0.500 (multiplicity 1)
5 Mn 0.200 0.500 0.895 (multiplicity 2)
6 Mn 0.394 0.500 0.303 (multiplicity 2)
7 O 0.000 0.500 0.000 (multiplicity 1)
8 O 0.083 0.500 0.699 (multiplicity 2)
9 O 0.204 0.500 0.421 (multiplicity 2)
10 O 0.209 0.000 0.900 (multiplicity 2)
11 O 0.315 0.500 0.087 (multiplicity 2)
12 O 0.404 0.500 0.786 (multiplicity 2)
13 O 0.413 0.000 0.335 (multiplicity 2)

Most intense lines, 2θ from 10° to 90°, in order of rising 2θ:
- 31.71°, rel. 45, (1 0 -3)
- 32.09°, rel. 47, (3 0 1)
- 32.26°, rel. 92, (2 1 -1)
- 32.34°, rel. 100, (1 1 2)
- 39.83°, rel. 19, (3 1 1)
- 45.63°, rel. 33, (4 0 -2)
- 45.85°, rel. 30, (2 0 4)
- 46.91°, rel. 31, (0 2 0)
- 57.27°, rel. 20, (5 1 0)
- 67.52°, rel. 18, (4 2 -2)



Record 2
Starting from a GGA+U-relaxed structure, the XRD peak list of Sr4LaMn5O13 was computed for Cu Ka.
Kinematic intensities with the Lorentz-polarization factor, no thermal factor.

Structural model:
Cell lengths 8.796, 3.894, 8.843 Å; angles 90.00, 90.61, 90.00 degrees
Space group Pm (No. 6)
Asymmetric unit:
1 Sr 0.000 0.000 0.000 (multiplicity 1)
2 Sr 0.164 0.000 0.600 (multiplicity 1)
3 Sr 0.379 0.000 0.220 (multiplicity 1)
4 Sr 0.771 0.000 0.433 (multiplicity 1)
5 La 0.605 0.000 0.834 (multiplicity 1)
6 Mn 0.080 0.500 0.312 (multiplicity 1)
7 Mn 0.286 0.500 0.910 (multiplicity 1)
8 Mn 0.479 0.500 0.524 (multiplicity 1)
9 Mn 0.687 0.500 0.125 (multiplicity 1)
10 Mn 0.886 0.500 0.716 (multiplicity 1)
11 O 0.050 0.000 0.294 (multiplicity 1)
12 O 0.101 0.500 0.790 (multiplicity 1)
13 O 0.178 0.500 0.115 (multiplicity 1)
14 O 0.283 0.500 0.430 (multiplicity 1)
15 O 0.311 0.000 0.877 (multiplicity 1)
16 O 0.468 0.000 0.565 (multiplicity 1)
17 O 0.491 0.500 0.992 (multiplicity 1)
18 O 0.591 0.500 0.320 (multiplicity 1)
19 O 0.659 0.500 0.657 (multiplicity 1)
20 O 0.712 0.000 0.132 (multiplicity 1)
21 O 0.803 0.500 0.939 (multiplicity 1)
22 O 0.875 0.000 0.720 (multiplicity 1)
23 O 0.954 0.500 0.492 (multiplicity 1)

Most intense lines, 2θ from 10° to 90°, in order of rising 2θ:
- 32.09°, rel. 100, (3 0 -1)
- 32.21°, rel. 95, (1 1 -2)
- 32.40°, rel. 92, (2 1 1)
- 39.76°, rel. 32, (3 1 -1)
- 45.74°, rel. 29, (2 0 -4)
- 46.31°, rel. 28, (4 0 2)
- 46.65°, rel. 33, (0 2 0)
- 57.12°, rel. 19, (4 1 -3)
- 57.53°, rel. 32, (5 1 0)
- 57.73°, rel. 19, (3 2 -1)



Record 3
Starting from a GGA+U-relaxed structure, the XRD peak list of Sr2La2Mn4O11 was computed for Cu Ka.
Kinematic intensities with the Lorentz-polarization factor, no thermal factor.

Structural model:
Cell lengths 5.624, 5.624, 15.477 Å; angles 90.00, 90.00, 90.00 degrees
Space group I4/mmm (No. 139)
Asymmetric unit:
1 Sr 0.000 0.500 0.000 (multiplicity 4)
2 La 0.000 0.500 0.250 (multiplicity 4)
3 Mn 0.000 0.000 0.121 (multiplicity 4)
4 Mn 0.000 0.000 0.371 (multiplicity 4)
5 O 0.000 0.000 0.000 (multiplicity 2)
6 O 0.000 0.000 0.242 (multiplicity 4)
7 O 0.241 0.241 0.375 (multiplicity 16)

Most intense lines, 2θ from 10° to 90°, in order of rising 2θ:
- 31.82°, rel. 47, (2 0 0)
- 32.28°, rel. 100, (1 1 4)
- 39.62°, rel. 24, (2 0 4)
- 45.62°, rel. 34, (2 2 0)
- 46.97°, rel. 15, (0 0 8)
- 56.99°, rel. 38, (3 1 4)
- 57.85°, rel. 17, (2 0 8)
- 66.50°, rel. 10, (4 0 0)
- 67.56°, rel. 19, (2 2 8)
- 85.34°, rel. 9, (4 0 8)



Record 4
Starting from a GGA+U-relaxed structure, the XRD peak list of Sr2LaMn2O7 was computed for Cu Ka.
Kinematic intensities with the Lorentz-polarization factor, no thermal factor.

Structural model:
Cell lengths 3.851, 3.983, 20.265 Å; angles 90.00, 90.00, 90.00 degrees
Space group Immm (No. 71)
Asymmetric unit:
1 Sr 0.000 0.000 0.184 (multiplicity 4)
2 La 0.000 0.000 0.000 (multiplicity 2)
3 Mn 0.000 0.000 0.402 (multiplicity 4)
4 O 0.000 0.000 0.306 (multiplicity 4)
5 O 0.000 0.000 0.500 (multiplicity 2)
6 O 0.000 0.500 0.091 (multiplicity 4)
7 O 0.000 0.500 0.409 (multiplicity 4)

Most intense lines, 2θ from 10° to 90°, in order of rising 2θ:
- 31.49°, rel. 80, (0 1 5)
- 32.06°, rel. 76, (1 0 5)
- 32.34°, rel. 100, (1 1 0)
- 42.21°, rel. 43, (1 1 6)
- 44.72°, rel. 23, (0 0 10)
- 45.55°, rel. 32, (0 2 0)
- 47.21°, rel. 29, (2 0 0)
- 56.26°, rel. 26, (1 1 10)
- 56.79°, rel. 30, (1 2 5)
- 57.86°, rel. 28, (2 1 5)



Record 5
Starting from a GGA+U-relaxed structure, the XRD peak list of Sr4LaMn5O13 was computed for Cu Ka.
Kinematic intensities with the Lorentz-polarization factor, no thermal factor.

Structural model:
Cell lengths 17.707, 7.659, 8.886 Å; angles 90.00, 90.37, 90.00 degrees
Space group Cm (No. 8)
Asymmetric unit:
1 Sr 0.000 0.247 0.000 (multiplicity 4)
2 Sr 0.095 0.250 0.430 (multiplicity 4)
3 Sr 0.300 0.251 0.205 (multiplicity 4)
4 Sr 0.399 0.252 0.633 (multiplicity 4)
5 La 0.197 0.249 0.819 (multiplicity 4)
6 Mn 0.048 0.500 0.712 (multiplicity 2)
7 Mn 0.049 0.000 0.711 (multiplicity 2)
8 Mn 0.145 0.500 0.124 (multiplicity 2)
9 Mn 0.147 0.000 0.126 (multiplicity 2)
10 Mn 0.251 0.500 0.513 (multiplicity 2)
11 Mn 0.252 0.000 0.516 (multiplicity 2)
12 Mn 0.349 0.500 0.921 (multiplicity 2)
13 Mn 0.350 0.000 0.924 (multiplicity 2)
14 Mn 0.447 0.500 0.312 (multiplicity 2)
15 Mn 0.448 0.000 0.318 (multiplicity 2)
16 O 0.047 0.000 0.227 (multiplicity 2)
17 O 0.048 0.500 0.237 (multiplicity 2)
18 O 0.053 0.254 0.715 (multiplicity 4)
19 O 0.105 0.500 0.899 (multiplicity 2)
20 O 0.112 0.000 0.909 (multiplicity 2)
21 O 0.150 0.000 0.603 (multiplicity 2)
22 O 0.150 0.500 0.602 (multiplicity 2)
23 O 0.154 0.251 0.157 (multiplicity 4)
24 O 0.242 0.248 0.482 (multiplicity 4)
25 O 0.243 0.500 0.036 (multiplicity 2)
26 O 0.247 0.000 0.046 (multiplicity 2)
27 O 0.291 0.000 0.736 (multiplicity 2)
28 O 0.291 0.500 0.734 (multiplicity 2)
29 O 0.345 0.250 0.919 (multiplicity 4)
30 O 0.348 0.500 0.397 (multiplicity 2)
31 O 0.349 0.000 0.405 (multiplicity 2)
32 O 0.405 0.500 0.113 (multiplicity 2)
33 O 0.407 0.000 0.121 (multiplicity 2)
34 O 0.452 0.000 0.815 (multiplicity 2)
35 O 0.454 0.500 0.810 (multiplicity 2)
36 O 0.490 0.500 0.504 (multiplicity 2)
37 O 0.492 0.000 0.516 (multiplicity 2)

Most intense lines, 2θ from 10° to 90°, in order of rising 2θ:
- 31.80°, rel. 24, (2 0 -3)
- 32.01°, rel. 26, (6 0 1)
- 32.50°, rel. 100, (2 2 2)
- 39.93°, rel. 10, (6 2 1)
- 45.68°, rel. 17, (8 0 -2)
- 45.82°, rel. 16, (4 0 4)
- 47.48°, rel. 16, (0 4 0)
- 57.09°, rel. 19, (6 2 -4)
- 57.37°, rel. 20, (10 2 0)
- 58.42°, rel. 9, (6 4 1)



Record 6
Starting from a GGA+U-relaxed structure, the XRD peak list of SrLaMn2O6 was computed for Cu Ka.
Kinematic intensities with the Lorentz-polarization factor, no thermal factor.

Structural model:
Cell lengths 5.496, 5.496, 23.646 Å; angles 90.00, 90.00, 90.00 degrees
Space group P-42m (No. 111)
Asymmetric unit:
1 Sr 0.000 0.000 0.000 (multiplicity 1)
2 Sr 0.000 0.000 0.166 (multiplicity 2)
3 Sr 0.000 0.000 0.500 (multiplicity 1)
4 Sr 0.500 0.500 0.333 (multiplicity 2)
5 La 0.000 0.000 0.333 (multiplicity 2)
6 La 0.500 0.500 0.000 (multiplicity 1)
7 La 0.500 0.500 0.167 (multiplicity 2)
8 La 0.500 0.500 0.500 (multiplicity 1)
9 Mn 0.000 0.500 0.083 (multiplicity 4)
10 Mn 0.000 0.500 0.250 (multiplicity 4)
11 Mn 0.000 0.500 0.417 (multiplicity 4)
12 O 0.000 0.500 0.000 (multiplicity 2)
13 O 0.000 0.500 0.167 (multiplicity 4)
14 O 0.000 0.500 0.333 (multiplicity 4)
15 O 0.000 0.500 0.500 (multiplicity 2)
16 O 0.215 0.215 0.586 (multiplicity 4)
17 O 0.216 0.216 0.252 (multiplicity 4)
18 O 0.227 0.227 0.917 (multiplicity 4)
19 O 0.284 0.284 0.419 (multiplicity 4)
20 O 0.284 0.284 0.752 (multiplicity 4)
21 O 0.289 0.289 0.084 (multiplicity 4)

Most intense lines, 2θ from 10° to 90°, in order of rising 2θ:
- 32.35°, rel. 100, (1 1 6)
- 32.59°, rel. 52, (2 0 0)
- 40.00°, rel. 26, (2 0 6)
- 46.06°, rel. 19, (0 0 12)
- 46.75°, rel. 34, (2 2 0)
- 57.56°, rel. 20, (2 0 12)
- 58.00°, rel. 40, (3 1 6)
- 67.73°, rel. 20, (2 2 12)
- 68.27°, rel. 9, (4 0 0)
- 86.32°, rel. 10, (4 0 12)



Record 7
Starting from a GGA+U-relaxed structure, the XRD peak list of Sr2LaMn2O7 was computed for Cu Ka.
Kinematic intensities with the Lorentz-polarization factor, no thermal factor.

Structural model:
Cell lengths 5.584, 20.052, 5.581 Å; angles 90.00, 92.30, 90.00 degrees
Space group C2 (No. 5)
Asymmetric unit:
1 Sr 0.000 0.000 0.000 (multiplicity 2)
2 Sr 0.000 0.176 0.000 (multiplicity 2)
3 Sr 0.000 0.500 0.500 (multiplicity 2)
4 Sr 0.000 0.676 0.500 (multiplicity 2)
5 La 0.000 0.363 0.000 (multiplicity 2)
6 La 0.000 0.864 0.500 (multiplicity 2)
7 Mn 0.000 0.082 0.500 (multiplicity 2)
8 Mn 0.000 0.276 0.500 (multiplicity 2)
9 Mn 0.000 0.582 0.000 (multiplicity 2)
10 Mn 0.000 0.778 0.000 (multiplicity 2)
11 O 0.000 0.181 0.500 (multiplicity 2)
12 O 0.000 0.375 0.500 (multiplicity 2)
13 O 0.000 0.479 0.000 (multiplicity 2)
14 O 0.000 0.683 0.000 (multiplicity 2)
15 O 0.000 0.878 0.000 (multiplicity 2)
16 O 0.000 0.982 0.500 (multiplicity 2)
17 O 0.235 0.084 0.265 (multiplicity 4)
18 O 0.235 0.784 0.763 (multiplicity 4)
19 O 0.246 0.783 0.247 (multiplicity 4)
20 O 0.250 0.083 0.750 (multiplicity 4)

Most intense lines, 2θ from 10° to 90°, in order of rising 2θ:
- 26.66°, rel. 11, (0 6 0)
- 31.49°, rel. 43, (1 5 -1)
- 32.12°, rel. 100, (2 0 0)
- 42.20°, rel. 22, (2 6 0)
- 45.04°, rel. 19, (2 0 -2)
- 45.22°, rel. 11, (0 10 0)
- 47.00°, rel. 20, (2 0 2)
- 56.41°, rel. 16, (3 5 -1)
- 56.53°, rel. 11, (2 10 0)
- 57.67°, rel. 16, (3 5 1)



Record 8
Starting from a GGA+U-relaxed structure, the XRD peak list of Sr4LaMn5O13 was computed for Cu Ka.
Kinematic intensities with the Lorentz-polarization factor, no thermal factor.

Structural model:
Cell lengths 8.786, 8.786, 7.881 Å; angles 90.00, 90.00, 90.00 degrees
Space group P4_2/m (No. 84)
Asymmetric unit:
1 Sr 0.112 0.721 0.249 (multiplicity 8)
2 La 0.500 0.500 0.250 (multiplicity 2)
3 Mn 0.000 0.000 0.000 (multiplicity 2)
4 Mn 0.195 0.404 0.000 (multiplicity 4)
5 Mn 0.201 0.397 0.500 (multiplicity 4)
6 O 0.000 0.000 0.250 (multiplicity 2)
7 O 0.066 0.227 0.500 (multiplicity 4)
8 O 0.075 0.219 0.000 (multiplicity 4)
9 O 0.186 0.417 0.251 (multiplicity 8)
10 O 0.269 0.608 0.000 (multiplicity 4)
11 O 0.324 0.583 0.500 (multiplicity 4)

Most intense lines, 2θ from 10° to 90°, in order of rising 2θ:
- 14.26°, rel. 6, (1 1 0)
- 32.19°, rel. 100, (3 1 0)
- 39.69°, rel. 12, (3 1 2)
- 46.07°, rel. 12, (0 0 4)
- 46.21°, rel. 21, (2 4 0)
- 57.38°, rel. 37, (3 1 4)
- 67.30°, rel. 12, (2 4 4)
- 76.46°, rel. 5, (1 2 6)
- 76.68°, rel. 9, (1 7 0)
- 85.53°, rel. 5, (6 2 4)